Simulated powder X-ray diffraction pattern of ZnAg2I4 for a wavelength of 1.5418 Å, from DFT lattice parameters and positions (GGA-PBE).
No peak broadening, texture or thermal motion is included.

The 10 most intense peaks (2θ from 15° to 90°), by intensity:
2θ 22.38, I = 100, (2 1 0); 2θ 43.00, I = 93, (2 1 3); 2θ 23.92, I = 92, (0 0 2); 2θ 25.42, I = 91, (2 1 1); 2θ 39.85, I = 87, (2 3 0); 2θ 47.02, I = 56, (2 3 2); 2θ 22.86, I = 54, (0 2 0); 2θ 38.99, I = 48, (4 0 0); 2θ 25.84, I = 46, (0 2 1); 2θ 43.27, I = 44, (0 2 3)

Crystal structure
```
ZnAg2I4
1.0
9.241 0.000 0.000
0.000 7.782 0.000
0.000 0.000 7.439
Zn Ag I
2 4 8
Cartesian
0.000 1.358 0.000
4.621 6.424 3.719
2.285 5.255 0.007
2.336 2.527 3.726
6.906 2.527 3.726
6.956 5.255 0.007
0.000 1.259 2.656
0.000 6.660 6.447
2.238 2.512 6.596
2.383 5.270 2.877
4.621 1.122 2.728
4.621 6.523 6.375
6.858 5.270 2.877
7.004 2.512 6.596
```